Calculated powder diffractogram
Compound: CeIn7Cu5
Radiation: Cu Kα (λ = 1.5418 Å)
Structure: a GGA-PBE-relaxed structure

The 8 most intense peaks (10° ≤ 2θ ≤ 80°), low angle first:
d = 2.763 Å, rel. 64, hkl 1 3 0
d = 2.754 Å, rel. 29, hkl 2 0 0
d = 2.397 Å, rel. 68, hkl 0 0 4
d = 2.392 Å, rel. 100, hkl 0 4 0
d = 2.144 Å, rel. 33, hkl 0 4 2
d = 2.137 Å, rel. 53, hkl 2 2 2
d = 1.384 Å, rel. 27, hkl 2 0 6
d = 1.381 Å, rel. 23, hkl 2 6 0

```
data_CeIn7Cu5
_symmetry_space_group_name_H-M 'I m m 2'
_symmetry_Int_Tables_number 44
_symmetry_space_group_name_Hall 'I 2 -2'
_cell_length_a 5.5075
_cell_length_b 9.5713
_cell_length_c 9.6006
_cell_angle_alpha 90.00
_cell_angle_beta 90.00
_cell_angle_gamma 90.00
loop_
_atom_site_label
_atom_site_fract_x
_atom_site_fract_y
_atom_site_fract_z
Ce1 0.0000 0.0000 0.0000
In1 0.0000 0.0000 0.3447
In2 0.0000 0.0000 0.6660
In3 0.0000 0.3018 0.4872
In4 0.0000 0.3422 0.0133
In5 0.0000 0.5000 0.7242
Cu1 0.0000 0.5000 0.2729
Cu2 0.2450 0.2422 0.7491
```

***

Calculated powder diffractogram
Compound: Ho2ZnAg
Radiation: Cu Kα (λ = 1.5418 Å)
Structure: a GGA-PBE-relaxed structure

The 8 most intense peaks (10° ≤ 2θ ≤ 80°), low angle first:
d = 4.148 Å, rel. 2, hkl 1 1 1
d = 3.592 Å, rel. 9, hkl 2 0 0
d = 2.540 Å, rel. 100, hkl 2 2 0
d = 2.074 Å, rel. 3, hkl 2 2 2
d = 1.796 Å, rel. 18, hkl 4 0 0
d = 1.606 Å, rel. 4, hkl 4 2 0
d = 1.466 Å, rel. 36, hkl 4 2 2
d = 1.270 Å, rel. 11, hkl 4 4 0

```
data_Ho2ZnAg
_symmetry_space_group_name_H-M 'F m -3 m'
_symmetry_Int_Tables_number 225
_symmetry_space_group_name_Hall '-F 4 2 3'
_cell_length_a 7.1843
_cell_length_b 7.1843
_cell_length_c 7.1843
_cell_angle_alpha 90.00
_cell_angle_beta 90.00
_cell_angle_gamma 90.00
loop_
_atom_site_label
_atom_site_fract_x
_atom_site_fract_y
_atom_site_fract_z
Ho1 0.2500 0.2500 0.2500
Zn1 0.0000 0.0000 0.0000
Ag1 0.0000 0.0000 0.5000
```

***

Calculated powder diffractogram
Compound: MnV2Cr
Radiation: Cu Kα (λ = 1.5418 Å)
Structure: a GGA-PBE-relaxed structure

The 2 most intense peaks (10° ≤ 2θ ≤ 80°), low angle first:
d = 2.047 Å, rel. 100, hkl 2 2 0
d = 1.447 Å, rel. 15, hkl 4 0 0

```
data_MnV2Cr
_symmetry_space_group_name_H-M 'F m -3 m'
_symmetry_Int_Tables_number 225
_symmetry_space_group_name_Hall '-F 4 2 3'
_cell_length_a 5.7884
_cell_length_b 5.7884
_cell_length_c 5.7884
_cell_angle_alpha 90.00
_cell_angle_beta 90.00
_cell_angle_gamma 90.00
loop_
_atom_site_label
_atom_site_fract_x
_atom_site_fract_y
_atom_site_fract_z
Mn1 0.0000 0.0000 0.0000
V1 0.2500 0.2500 0.2500
Cr1 0.0000 0.0000 0.5000
```

***

Calculated powder diffractogram
Compound: MgNb2
Radiation: Cu Kα (λ = 1.5418 Å)
Structure: a GGA-PBE-relaxed structure

The 8 most intense peaks (10° ≤ 2θ ≤ 80°), low angle first:
d = 7.307 Å, rel. 56, hkl 0 0 2
d = 2.706 Å, rel. 12, hkl 1 1 1
d = 2.436 Å, rel. 25, hkl 0 0 6
d = 2.397 Å, rel. 100, hkl 1 1 3
d = 2.272 Å, rel. 22, hkl 0 2 0
d = 1.661 Å, rel. 16, hkl 0 2 6
d = 1.399 Å, rel. 16, hkl 1 1 9
d = 1.335 Å, rel. 15, hkl 1 3 3

```
data_MgNb2
_symmetry_space_group_name_H-M 'F m m m'
_symmetry_Int_Tables_number 69
_symmetry_space_group_name_Hall '-F 2 2'
_cell_length_a 3.4607
_cell_length_b 4.5441
_cell_length_c 14.6130
_cell_angle_alpha 90.00
_cell_angle_beta 90.00
_cell_angle_gamma 90.00
loop_
_atom_site_label
_atom_site_fract_x
_atom_site_fract_y
_atom_site_fract_z
Mg1 0.0000 0.0000 0.0000
Nb1 0.0000 0.0000 0.3275
```

***

Calculated powder diffractogram
Compound: ZnSn2O5
Radiation: Cu Kα (λ = 1.5418 Å)
Structure: a GGA-PBE-relaxed structure

The 8 most intense peaks (10° ≤ 2θ ≤ 80°), low angle first:
d = 5.233 Å, rel. 50, hkl 0 0 2
d = 3.732 Å, rel. 100, hkl 1 1 0
d = 2.900 Å, rel. 90, hkl 0 2 3
d = 2.631 Å, rel. 48, hkl 1 3 0
d = 2.546 Å, rel. 60, hkl 1 1 3
d = 1.997 Å, rel. 31, hkl 2 0 0
d = 1.645 Å, rel. 35, hkl 2 2 3
d = 1.639 Å, rel. 33, hkl 1 5 3

```
data_ZnSn2O5
_symmetry_space_group_name_H-M 'C m c m'
_symmetry_Int_Tables_number 63
_symmetry_space_group_name_Hall '-C 2c 2'
_cell_length_a 3.9936
_cell_length_b 10.4944
_cell_length_c 10.4413
_cell_angle_alpha 90.00
_cell_angle_beta 90.00
_cell_angle_gamma 90.00
loop_
_atom_site_label
_atom_site_fract_x
_atom_site_fract_y
_atom_site_fract_z
Zn1 0.0000 0.1820 0.2500
Sn1 0.0000 0.1364 0.5668
O1 0.0000 0.0514 0.1129
O2 0.0000 0.2238 0.7500
O3 0.0000 0.3063 0.0605
```